This entry pairs a crystal structure of GdH7C8SO9 with its computed powder XRD pattern. Radiation: Cu Kα X-rays. Structure: the PBE geometry in OQMD.
Neutral-atom scattering factors, no anomalous dispersion.

Top 8 peaks for 10° ≤ 2θ ≤ 80°, low angle first:
| two_theta | d_spacing | intensity | (hkl) |
| --- | --- | --- | --- |
| 13.29 | 6.663 | 24 | 0 1 -1 |
| 15.14 | 5.852 | 83 | 1 0 0 |
| 15.62 | 5.675 | 63 | 1 -1 0 |
| 15.97 | 5.549 | 31 | 1 0 -1 |
| 18.73 | 4.739 | 79 | 1 -1 1 |
| 20.72 | 4.286 | 25 | 1 0 -2 |
| 21.85 | 4.068 | 100 | 0 2 0 |
| 30.47 | 2.934 | 49 | 1 2 0 |

Structure:
```
data_GdH7C8SO9
_chemical_formula_sum 'Gd2 H14 C16 S2 O18'
_symmetry_space_group_name_H-M 'P -1'
_symmetry_Int_Tables_number 2
_symmetry_space_group_name_Hall '-P 1'
_cell_length_a 6.255
_cell_length_b 8.575
_cell_length_c 10.530
_cell_angle_alpha 91.42
_cell_angle_beta 99.62
_cell_angle_gamma 107.88
loop_
_atom_site_label
_atom_site_type_symbol
_atom_site_fract_x
_atom_site_fract_y
_atom_site_fract_z
Gd1 Gd 0.151 0.241 0.111
H1 H 0.182 0.152 0.554
H2 H 0.319 0.954 0.111
H3 H 0.343 0.645 0.787
H4 H 0.353 0.643 0.583
H5 H 0.389 0.588 0.356
H6 H 0.416 0.496 0.848
H7 H 0.456 0.904 0.820
C1 C 0.020 0.225 0.700
C2 C 0.021 0.763 0.658
C3 C 0.051 0.202 0.574
C4 C 0.081 0.749 0.528
C5 C 0.135 0.696 0.273
C6 C 0.158 0.651 0.139
C7 C 0.247 0.679 0.504
C8 C 0.268 0.649 0.377
S1 S 0.215 0.171 0.820
O1 O 0.089 0.037 0.892
O2 O 0.150 0.745 0.762
O3 O 0.157 0.755 0.054
O4 O 0.167 0.212 0.336
O5 O 0.178 0.512 0.117
O6 O 0.317 0.317 0.915
O7 O 0.375 0.128 0.753
O8 O 0.386 0.074 0.134
O9 O 0.468 0.595 0.800
```

This entry pairs a crystal structure of GdH7C2SO8 with its computed powder XRD pattern. Radiation: Cu Kα X-rays. Structure: the PBE geometry in OQMD.
Neutral-atom scattering factors, no anomalous dispersion.

Top 8 peaks for 10° ≤ 2θ ≤ 80°, low angle first:
| two_theta | d_spacing | intensity | (hkl) |
| --- | --- | --- | --- |
| 11.24 | 7.870 | 100 | 0 0 1 |
| 14.07 | 6.295 | 55 | 1 0 0 |
| 14.76 | 6.000 | 62 | 0 1 0 |
| 17.03 | 5.206 | 42 | 1 0 -1 |
| 22.11 | 4.020 | 38 | 0 1 2 |
| 23.53 | 3.780 | 28 | 1 -1 0 |
| 28.88 | 3.091 | 32 | 2 1 1 |
| 30.28 | 2.952 | 36 | 0 2 2 |

Structure:
```
data_GdH7C2SO8
_chemical_formula_sum 'Gd2 H14 C4 S2 O16'
_symmetry_space_group_name_H-M 'P -1'
_symmetry_Int_Tables_number 2
_symmetry_space_group_name_Hall '-P 1'
_cell_length_a 6.646
_cell_length_b 6.747
_cell_length_c 8.435
_cell_angle_alpha 69.87
_cell_angle_beta 89.73
_cell_angle_gamma 72.39
loop_
_atom_site_label
_atom_site_type_symbol
_atom_site_fract_x
_atom_site_fract_y
_atom_site_fract_z
Gd1 Gd 0.115 0.156 0.133
H1 H 0.085 0.506 0.707
H2 H 0.108 0.306 0.432
H3 H 0.168 0.816 0.505
H4 H 0.397 0.826 0.443
H5 H 0.412 0.568 0.821
H6 H 0.426 0.347 0.338
H7 H 0.491 0.596 0.308
C1 C 0.263 0.618 0.120
C2 C 0.454 0.493 0.245
S1 S 0.306 0.086 0.749
O1 O 0.009 0.669 0.654
O2 O 0.169 0.953 0.741
O3 O 0.173 0.826 0.082
O4 O 0.182 0.518 0.046
O5 O 0.213 0.233 0.847
O6 O 0.243 0.882 0.409
O7 O 0.320 0.232 0.574
O8 O 0.481 0.064 0.169
```